Structure and calculated powder X-ray diffraction pattern of LiCoPO4 (a structure optimized by DFT (PBE+U); a wavelength of 1.5418 Å).
Kinematic intensities with the Lorentz-polarization factor, no thermal factor.

Structure:
```
data_LiCoPO4
_cell_length_a 4.743
_cell_length_b 6.001
_cell_length_c 10.286
_cell_angle_alpha 89.90
_cell_angle_beta 89.93
_cell_angle_gamma 89.91
_space_group_name_H-M_alt 'P -1'
_space_group_IT_number 2
loop_
_space_group_symop_operation_xyz
'x,y,z'
'-x,-y,-z'
loop_
_atom_site_label
_atom_site_type_symbol
_atom_site_fract_x
_atom_site_fract_y
_atom_site_fract_z
Li1 Li 0.000 0.000 0.000
Li2 Li 0.000 0.500 0.000
Li3 Li 0.500 0.000 0.500
Li4 Li 0.500 0.500 0.500
Co1 Co 0.018 0.249 0.277
Co2 Co 0.476 0.250 0.776
P1 P 0.082 0.750 0.407
P2 P 0.421 0.750 0.906
O1 O 0.204 0.752 0.547
O2 O 0.218 0.544 0.336
O3 O 0.219 0.955 0.334
O4 O 0.242 0.250 0.597
O5 O 0.255 0.252 0.099
O6 O 0.282 0.544 0.837
O7 O 0.287 0.954 0.832
O8 O 0.301 0.754 0.047
```

Largest 10 diffraction maxima, sorted by position, 5 to 70 degrees two-theta:
2theta  Rel. int.
17.24  36.0
20.62  50.4
22.77  17.2
25.46  82.8
29.78  59.9
32.22  21.1
35.61  100.0
36.50  24.8
52.25  17.5
52.33  17.3